No. 1
This entry pairs a crystal structure of TbNd3Dy2 with its theoretical X-ray powder pattern. Radiation: Cu Kα. Structure: a PBE-relaxed structure.
Kinematic intensities with the Lorentz-polarization factor, no thermal factor.

Cell and atoms:
```
TbNd3Dy2
1.0
0.000 5.111 10.849
3.615 0.000 10.849
3.615 5.111 0.000
Tb Nd Dy
2 6 4
Direct
0.125 0.125 0.125
0.875 0.875 0.875
0.042 0.042 0.708
0.292 0.292 0.958
0.375 0.375 0.375
0.625 0.625 0.625
0.708 0.708 0.042
0.958 0.958 0.292
0.208 0.208 0.542
0.458 0.458 0.792
0.542 0.542 0.208
0.792 0.792 0.458
```

Most intense lines, 10° ≤ 2θ ≤ 80°, low angle first:
d/Å, 2theta, intensity
2.952, 30.28, 100
2.556, 35.10, 51
1.808, 50.49, 36
1.542, 60.01, 43
1.476, 62.98, 12
1.278, 74.19, 6

---

No. 2
This entry pairs a crystal structure of Tb2Nd6Dy with its theoretical X-ray powder pattern. Radiation: Cu Kα. Structure: a PBE-relaxed structure.
Kinematic intensities with the Lorentz-polarization factor, no thermal factor.

Cell and atoms:
```
Tb2Nd6Dy
1.0
4.728 -8.905 0.000
4.728 8.905 0.000
0.000 0.000 3.668
Tb Nd Dy
2 6 1
Direct
0.177 0.823 0.000
0.823 0.177 0.000
0.159 0.489 0.500
0.316 0.316 0.000
0.489 0.159 0.500
0.511 0.841 0.500
0.684 0.684 0.000
0.841 0.511 0.500
0.000 0.000 0.500
```

Most intense lines, 10° ≤ 2θ ≤ 80°, low angle first:
d/Å, 2theta, intensity
3.104, 28.76, 37
2.965, 30.14, 100
2.756, 32.49, 36
2.429, 37.01, 19
2.361, 38.12, 20
1.766, 51.78, 11
1.713, 53.50, 11
1.617, 56.93, 19
1.579, 58.44, 10
1.560, 59.22, 11

---

No. 3
This entry pairs a crystal structure of TbNd2Dy7 with its theoretical X-ray powder pattern. Radiation: Cu Kα. Structure: a PBE-relaxed structure.
Kinematic intensities with the Lorentz-polarization factor, no thermal factor.

Cell and atoms:
```
TbNd2Dy7
1.0
6.174 0.000 0.000
2.042 6.843 0.000
2.058 1.252 7.611
Tb Nd Dy
1 2 7
Direct
0.000 0.000 0.000
0.201 0.799 0.601
0.799 0.201 0.399
0.000 0.500 0.000
0.200 0.300 0.601
0.399 0.601 0.198
0.400 0.101 0.198
0.600 0.899 0.802
0.601 0.399 0.802
0.800 0.700 0.399
```

Most intense lines, 10° ≤ 2θ ≤ 80°, low angle first:
d/Å, 2theta, intensity
2.914, 30.68, 100
2.526, 35.54, 34
2.519, 35.63, 17
1.785, 51.17, 30
1.783, 51.25, 6
1.523, 60.80, 22
1.521, 60.92, 18
1.520, 60.97, 4
1.457, 63.88, 12
1.264, 75.15, 2

---

No. 4
This entry pairs a crystal structure of Tb2Nd7Dy3 with its theoretical X-ray powder pattern. Radiation: Cu Kα. Structure: a PBE-relaxed structure.
Kinematic intensities with the Lorentz-polarization factor, no thermal factor.

Cell and atoms:
```
Tb2Nd7Dy3
1.0
6.484 0.000 0.000
0.000 3.574 0.000
-1.798 0.000 17.560
Tb Nd Dy
2 7 3
Direct
0.059 0.000 0.170
0.941 0.000 0.830
0.000 0.500 0.500
0.225 0.000 0.671
0.257 0.000 0.995
0.277 0.500 0.333
0.723 0.500 0.667
0.743 0.000 0.005
0.775 0.000 0.329
0.455 0.500 0.840
0.500 0.000 0.500
0.545 0.500 0.160
```

Most intense lines, 10° ≤ 2θ ≤ 80°, low angle first:
d/Å, 2theta, intensity
3.052, 29.27, 57
2.955, 30.24, 81
2.927, 30.54, 100
2.900, 30.83, 98
2.711, 33.05, 67
2.608, 34.39, 86
2.395, 37.56, 25
1.849, 49.28, 39
1.551, 59.61, 27
1.525, 60.72, 33

---

No. 5
This entry pairs a crystal structure of Tb12Nd2Dy5 with its theoretical X-ray powder pattern. Radiation: Cu Kα. Structure: a PBE-relaxed structure.
Kinematic intensities with the Lorentz-polarization factor, no thermal factor.

Cell and atoms:
```
Tb12Nd2Dy5
1.0
7.892 -4.623 0.000
7.892 4.623 0.000
-0.174 0.000 8.573
Tb Nd Dy
12 2 5
Direct
0.059 0.059 0.333
0.065 0.682 0.343
0.164 0.525 0.757
0.318 0.935 0.657
0.409 0.409 0.118
0.475 0.836 0.243
0.525 0.164 0.757
0.591 0.591 0.882
0.682 0.065 0.343
0.836 0.475 0.243
0.935 0.318 0.657
0.941 0.941 0.667
0.181 0.819 0.000
0.819 0.181 0.000
0.199 0.199 0.012
0.269 0.269 0.426
0.500 0.500 0.500
0.731 0.731 0.574
0.801 0.801 0.988
```

Most intense lines, 10° ≤ 2θ ≤ 80°, low angle first:
d/Å, 2theta, intensity
2.935, 30.46, 72
2.874, 31.12, 57
2.853, 31.36, 88
2.838, 31.52, 100
2.819, 31.74, 43
2.700, 33.19, 72
2.532, 35.45, 48
2.476, 36.28, 38
1.660, 55.33, 31
1.547, 59.80, 43

---

No. 6
This entry pairs a crystal structure of Tb16Nd7Dy6 with its theoretical X-ray powder pattern. Radiation: Cu Kα. Structure: a PBE-relaxed structure.
Kinematic intensities with the Lorentz-polarization factor, no thermal factor.

Cell and atoms:
```
Tb16Nd7Dy6
1.0
0.000 7.946 7.946
7.946 0.000 7.946
7.946 7.946 0.000
Tb Nd Dy
16 7 6
Direct
0.047 0.651 0.651
0.127 0.127 0.127
0.127 0.127 0.619
0.127 0.619 0.127
0.349 0.349 0.349
0.349 0.349 0.953
0.349 0.953 0.349
0.381 0.873 0.873
0.619 0.127 0.127
0.651 0.047 0.651
0.651 0.651 0.047
0.651 0.651 0.651
0.873 0.381 0.873
0.873 0.873 0.381
0.873 0.873 0.873
0.953 0.349 0.349
0.000 0.000 0.000
0.000 0.000 0.500
0.000 0.500 0.000
0.000 0.500 0.500
0.500 0.000 0.000
0.500 0.000 0.500
0.500 0.500 0.000
0.264 0.264 0.736
0.264 0.736 0.264
0.264 0.736 0.736
0.736 0.264 0.264
0.736 0.264 0.736
0.736 0.736 0.264
```

Most intense lines, 10° ≤ 2θ ≤ 80°, low angle first:
d/Å, 2theta, intensity
3.554, 25.06, 6
3.244, 27.50, 6
3.058, 29.20, 9
2.809, 31.85, 100
2.686, 33.36, 6
2.513, 35.73, 5
1.986, 45.67, 14
1.622, 56.76, 27
1.405, 66.57, 8
1.256, 75.70, 7

---

No. 7
This entry pairs a crystal structure of Tb5Nd2Dy with its theoretical X-ray powder pattern. Radiation: Cu Kα. Structure: a PBE-relaxed structure.
Kinematic intensities with the Lorentz-polarization factor, no thermal factor.

Cell and atoms:
```
Tb5Nd2Dy
1.0
7.177 0.000 0.000
0.000 14.356 0.000
0.000 0.000 5.068
Tb Nd Dy
10 4 2
Direct
0.000 0.000 0.000
0.001 0.250 0.000
0.249 0.875 0.500
0.251 0.375 0.500
0.499 0.750 0.000
0.500 0.500 0.000
0.501 0.250 0.000
0.749 0.625 0.500
0.751 0.125 0.500
0.999 0.750 0.000
0.249 0.625 0.500
0.251 0.125 0.500
0.749 0.875 0.500
0.751 0.375 0.500
0.000 0.500 0.000
0.500 0.000 0.000
```

Most intense lines, 10° ≤ 2θ ≤ 80°, low angle first:
d/Å, 2theta, intensity
2.929, 30.52, 100
2.536, 35.39, 51
1.794, 50.91, 36
1.530, 60.53, 43
1.464, 63.53, 12
1.269, 74.83, 4
1.267, 74.95, 2

---

No. 8
This entry pairs a crystal structure of Tb2Nd4Dy with its theoretical X-ray powder pattern. Radiation: Cu Kα. Structure: a PBE-relaxed structure.
Kinematic intensities with the Lorentz-polarization factor, no thermal factor.

Cell and atoms:
```
Tb2Nd4Dy
1.0
0.000 12.183 3.247
6.025 0.000 3.247
6.025 12.183 0.000
Tb Nd Dy
4 8 2
Direct
0.260 0.740 0.309
0.559 0.941 0.510
0.740 0.260 0.691
0.941 0.559 0.990
0.196 0.350 0.016
0.234 0.812 0.054
0.350 0.196 0.438
0.432 0.674 0.428
0.674 0.432 0.466
0.784 0.822 0.576
0.812 0.234 0.900
0.822 0.784 0.818
0.058 0.058 0.942
0.308 0.308 0.192
```

Most intense lines, 10° ≤ 2θ ≤ 80°, low angle first:
d/Å, 2theta, intensity
3.013, 29.65, 11
2.973, 30.06, 100
2.925, 30.57, 31
2.858, 31.30, 64
2.797, 31.99, 32
2.783, 32.17, 24
2.438, 36.87, 28
1.817, 50.21, 20
1.672, 54.92, 21
1.534, 60.34, 14

---

No. 9
This entry pairs a crystal structure of TbNd6Dy2 with its theoretical X-ray powder pattern. Radiation: Cu Kα. Structure: a PBE-relaxed structure.
Kinematic intensities with the Lorentz-polarization factor, no thermal factor.

Cell and atoms:
```
TbNd6Dy2
1.0
4.723 -8.896 0.000
4.723 8.896 0.000
0.000 0.000 3.669
Tb Nd Dy
1 6 2
Direct
0.000 0.000 0.000
0.159 0.489 0.000
0.317 0.317 0.500
0.489 0.159 0.000
0.511 0.841 0.000
0.683 0.683 0.500
0.841 0.511 0.000
0.178 0.822 0.500
0.822 0.178 0.500
```

Most intense lines, 10° ≤ 2θ ≤ 80°, low angle first:
d/Å, 2theta, intensity
3.100, 28.80, 36
2.964, 30.15, 100
2.755, 32.50, 36
2.428, 37.03, 19
2.358, 38.16, 21
1.764, 51.82, 12
1.712, 53.54, 11
1.616, 56.99, 19
1.579, 58.45, 10
1.560, 59.22, 11

---

No. 10
This entry pairs a crystal structure of TbNd12Dy2 with its theoretical X-ray powder pattern. Radiation: Cu Kα. Structure: a PBE-relaxed structure.
Kinematic intensities with the Lorentz-polarization factor, no thermal factor.

Cell and atoms:
```
TbNd12Dy2
1.0
6.565 0.000 0.000
0.000 6.565 0.000
0.000 0.000 25.600
Tb Nd Dy
2 24 4
Direct
0.250 0.750 0.000
0.750 0.250 0.000
0.068 0.568 0.114
0.068 0.932 0.886
0.082 0.582 0.562
0.082 0.918 0.438
0.250 0.250 0.215
0.250 0.250 0.337
0.250 0.250 0.663
0.250 0.250 0.785
0.418 0.582 0.438
0.418 0.918 0.562
0.432 0.568 0.886
0.432 0.932 0.114
0.568 0.068 0.886
0.568 0.432 0.114
0.582 0.082 0.438
0.582 0.418 0.562
0.750 0.750 0.215
0.750 0.750 0.337
0.750 0.750 0.663
0.750 0.750 0.785
0.918 0.082 0.562
0.918 0.418 0.438
0.932 0.068 0.114
0.932 0.432 0.886
0.250 0.750 0.271
0.250 0.750 0.729
0.750 0.250 0.271
0.750 0.250 0.729
```

Most intense lines, 10° ≤ 2θ ≤ 80°, low angle first:
d/Å, 2theta, intensity
3.180, 28.06, 78
3.064, 29.15, 56
2.921, 30.61, 66
2.873, 31.13, 100
2.862, 31.26, 88
2.844, 31.45, 51
2.669, 33.58, 43
2.547, 35.24, 42
2.321, 38.80, 54
1.677, 54.74, 52

---

No. 11
This entry pairs a crystal structure of TbNdDy with its theoretical X-ray powder pattern. Radiation: Cu Kα. Structure: a PBE-relaxed structure.
Kinematic intensities with the Lorentz-polarization factor, no thermal factor.

Cell and atoms:
```
TbNdDy
1.0
2.539 -7.619 0.000
2.539 7.619 0.000
0.000 0.000 10.186
Tb Nd Dy
4 4 4
Direct
0.085 0.915 0.875
0.415 0.585 0.375
0.585 0.415 0.625
0.915 0.085 0.125
0.084 0.916 0.375
0.416 0.584 0.875
0.584 0.416 0.125
0.916 0.084 0.625
0.249 0.751 0.625
0.251 0.749 0.125
0.749 0.251 0.875
0.751 0.249 0.375
```

Most intense lines, 10° ≤ 2θ ≤ 80°, low angle first:
d/Å, 2theta, intensity
2.935, 30.46, 100
2.543, 35.29, 34
2.539, 35.35, 17
1.797, 50.80, 36
1.535, 60.30, 14
1.532, 60.44, 29
1.468, 63.38, 12
1.273, 74.53, 2
1.270, 74.76, 2
1.270, 74.77, 2

---

No. 12
This entry pairs a crystal structure of TbNd4Dy4 with its theoretical X-ray powder pattern. Radiation: Cu Kα. Structure: a PBE-relaxed structure.
Kinematic intensities with the Lorentz-polarization factor, no thermal factor.

Cell and atoms:
```
TbNd4Dy4
1.0
-5.412 5.412 2.545
5.412 -5.412 2.545
5.412 5.412 -2.545
Tb Nd Dy
1 4 4
Direct
0.000 0.000 0.000
0.333 0.333 0.667
0.333 0.667 0.000
0.667 0.333 0.000
0.667 0.667 0.333
0.000 0.335 0.335
0.000 0.665 0.665
0.335 0.000 0.335
0.665 0.000 0.665
```

Most intense lines, 10° ≤ 2θ ≤ 80°, low angle first:
d/Å, 2theta, intensity
2.943, 30.37, 100
2.549, 35.21, 51
1.802, 50.64, 36
1.538, 60.16, 29
1.535, 60.29, 14
1.472, 63.18, 12
1.276, 74.36, 4
1.272, 74.59, 2